This entry pairs a crystal structure of SnMo4O6 with its computed X-ray powder pattern. Radiation: copper Kα. Structure: DFT lattice parameters and positions (PBE+U).
Lines closer than 0.1° are merged.

Most intense lines, 10 to 90 degrees two-theta, by angle:
index	2theta	d (Å)	Rel. int.
3 1 0	28.86	3.093	100
2 0 1	33.30	2.691	40
2 1 1	34.57	2.595	74
3 2 1	43.61	2.075	44
5 1 0	47.39	1.918	18
3 3 1	48.55	1.875	16
4 4 0	52.95	1.729	19
5 1 1	55.77	1.648	25
5 2 1	58.31	1.582	20
3 1 2	65.29	1.429	19

Structural model:
Lattice parameters (Å, degrees): 9.781 9.781 3.223 90.00 90.00 90.00
Fractional positions:
Sn1 0.000 0.000 0.000
Sn2 0.500 0.500 0.000
Mo1 0.112 0.388 0.000
Mo2 0.150 0.650 0.500
Mo3 0.350 0.150 0.500
Mo4 0.388 0.888 0.000
Mo5 0.612 0.112 0.000
Mo6 0.650 0.850 0.500
Mo7 0.850 0.350 0.500
Mo8 0.888 0.612 0.000
O1 0.049 0.760 0.000
O2 0.204 0.296 0.500
O3 0.240 0.049 0.000
O4 0.260 0.549 0.000
O5 0.296 0.796 0.500
O6 0.451 0.260 0.000
O7 0.549 0.740 0.000
O8 0.704 0.204 0.500
O9 0.740 0.451 0.000
O10 0.760 0.951 0.000
O11 0.796 0.704 0.500
O12 0.951 0.240 0.000